The following is a theoretical PXRD pattern of NaLa2IrO6. It was derived from a DFT-relaxed cell (GGA-PBE, the Materials Project), using Cu Kα.
Neutral-atom scattering factors, no anomalous dispersion.

Crystal structure
abc: 5.631 6.021 9.820
angles: 90.00 124.28 90.00
Positions (direct):
Na 0.000 0.000 0.000
Na 0.000 0.500 0.500
La 0.229 0.069 0.747
La 0.229 0.431 0.247
La 0.771 0.569 0.753
La 0.771 0.931 0.253
Ir 0.500 0.000 0.500
Ir 0.500 0.500 0.000
O 0.155 0.174 0.449
O 0.155 0.326 0.949
O 0.272 0.721 0.435
O 0.272 0.779 0.935
O 0.382 0.047 0.268
O 0.382 0.453 0.768
O 0.618 0.547 0.232
O 0.618 0.953 0.732
O 0.728 0.221 0.065
O 0.728 0.279 0.565
O 0.845 0.674 0.051
O 0.845 0.826 0.551

Largest 8 diffraction maxima, in order of rising 2θ, 10 to 90 degrees two-theta:
Position (°2θ), I_rel
18.35, 64
19.30, 34
29.68, 40
30.82, 100
31.10, 99
31.76, 65
44.04, 36
44.67, 27

***

The following is a theoretical PXRD pattern of CeSe2. It was derived from a DFT-relaxed cell (GGA-PBE, the Materials Project), using Cu Kα.
Neutral-atom scattering factors, no anomalous dispersion.

Crystal structure
abc: 7.539 4.293 9.110
angles: 90.00 90.00 90.00
Positions (direct):
Ce 0.247 0.250 0.131
Ce 0.253 0.750 0.631
Ce 0.747 0.250 0.369
Ce 0.753 0.750 0.869
Se 0.037 0.250 0.833
Se 0.138 0.250 0.437
Se 0.362 0.750 0.937
Se 0.463 0.750 0.333
Se 0.537 0.250 0.667
Se 0.638 0.250 0.063
Se 0.862 0.750 0.563
Se 0.963 0.750 0.167

Largest 8 diffraction maxima, in order of rising 2θ, 10 to 90 degrees two-theta:
Position (°2θ), I_rel
22.85, 47
30.99, 43
31.59, 29
33.12, 100
36.23, 36
38.22, 53
41.02, 44
42.10, 40

***

The following is a theoretical PXRD pattern of SiAg8S2O4. It was derived from a DFT-relaxed cell (GGA-PBE, the Materials Project), using Cu Kα.
Neutral-atom scattering factors, no anomalous dispersion.

Crystal structure
abc: 11.157 11.157 11.157
angles: 141.02 141.02 56.30
Positions (direct):
Si 0.375 0.625 0.750
Si 0.625 0.375 0.250
Ag 0.022 0.772 0.250
Ag 0.074 0.324 0.147
Ag 0.074 0.926 0.750
Ag 0.226 0.476 0.750
Ag 0.228 0.978 0.250
Ag 0.324 0.074 0.647
Ag 0.324 0.676 0.250
Ag 0.476 0.226 0.250
Ag 0.524 0.774 0.750
Ag 0.676 0.324 0.750
Ag 0.676 0.926 0.353
Ag 0.772 0.022 0.750
Ag 0.774 0.524 0.250
Ag 0.926 0.074 0.250
Ag 0.926 0.676 0.853
Ag 0.978 0.228 0.750
S 0.107 0.357 0.750
S 0.357 0.107 0.250
S 0.643 0.893 0.750
S 0.893 0.643 0.250
O 0.260 0.680 0.580
O 0.320 0.401 0.580
O 0.320 0.740 0.920
O 0.401 0.320 0.080
O 0.599 0.680 0.920
O 0.680 0.260 0.080
O 0.680 0.599 0.420
O 0.740 0.320 0.420

Largest 8 diffraction maxima, in order of rising 2θ, 10 to 90 degrees two-theta:
Position (°2θ), I_rel
18.03, 20
30.11, 100
34.06, 58
35.31, 20
36.52, 22
42.07, 17
43.11, 25
48.95, 31

***

The following is a theoretical PXRD pattern of HfV2N3. It was derived from a DFT-relaxed cell (GGA-PBE, the Materials Project), using Cu Kα.
Neutral-atom scattering factors, no anomalous dispersion.

Crystal structure
abc: 3.030 4.267 9.241
angles: 90.00 90.00 90.00
Positions (direct):
Hf 0.000 0.000 0.000
Hf 0.500 0.500 0.500
V 0.000 0.000 0.318
V 0.000 0.000 0.682
V 0.500 0.500 0.182
V 0.500 0.500 0.818
N 0.000 0.500 0.000
N 0.000 0.500 0.330
N 0.000 0.500 0.670
N 0.500 0.000 0.170
N 0.500 0.000 0.500
N 0.500 0.000 0.830

Largest 8 diffraction maxima, in order of rising 2θ, 10 to 90 degrees two-theta:
Position (°2θ), I_rel
19.21, 43
22.95, 87
31.07, 42
35.96, 86
36.37, 86
41.82, 100
42.36, 49
61.04, 61

***

The following is a theoretical PXRD pattern of DyCuPbSe3. It was derived from a DFT-relaxed cell (GGA-PBE, the Materials Project), using Cu Kα.
Neutral-atom scattering factors, no anomalous dispersion.

Crystal structure
abc: 10.608 4.062 13.629
angles: 90.00 90.00 90.00
Positions (direct):
Dy 0.014 0.250 0.242
Dy 0.486 0.750 0.742
Dy 0.514 0.250 0.258
Dy 0.986 0.750 0.758
Cu 0.241 0.250 0.723
Cu 0.259 0.750 0.223
Cu 0.741 0.250 0.777
Cu 0.759 0.750 0.277
Pb 0.225 0.750 0.505
Pb 0.275 0.250 0.005
Pb 0.725 0.750 0.995
Pb 0.775 0.250 0.495
Se 0.051 0.250 0.616
Se 0.084 0.750 0.106
Se 0.240 0.750 0.830
Se 0.260 0.250 0.330
Se 0.416 0.250 0.606
Se 0.449 0.750 0.116
Se 0.551 0.250 0.884
Se 0.584 0.750 0.394
Se 0.740 0.750 0.670
Se 0.760 0.250 0.170
Se 0.916 0.250 0.894
Se 0.949 0.750 0.384

Largest 8 diffraction maxima, in order of rising 2θ, 10 to 90 degrees two-theta:
Position (°2θ), I_rel
21.23, 50
28.44, 22
30.70, 100
33.80, 30
34.09, 60
34.26, 34
43.33, 29
44.61, 31

***

The following is a theoretical PXRD pattern of NdAu. It was derived from a DFT-relaxed cell (GGA-PBE, the Materials Project), using Cu Kα.
Neutral-atom scattering factors, no anomalous dispersion.

Crystal structure
abc: 3.724 3.724 3.724
angles: 90.00 90.00 90.00
Positions (direct):
Nd 0.000 0.000 0.000
Au 0.500 0.500 0.500

Largest 8 diffraction maxima, in order of rising 2θ, 10 to 90 degrees two-theta:
Position (°2θ), I_rel
23.89, 3
34.05, 100
42.02, 1
48.92, 18
55.15, 1
60.94, 38
71.68, 12
81.78, 17

***

Copy entry 4 word for word.
The following is a theoretical PXRD pattern of HfV2N3. It was derived from a DFT-relaxed cell (GGA-PBE, the Materials Project), using Cu Kα.
Neutral-atom scattering factors, no anomalous dispersion.

Crystal structure
abc: 3.030 4.267 9.241
angles: 90.00 90.00 90.00
Positions (direct):
Hf 0.000 0.000 0.000
Hf 0.500 0.500 0.500
V 0.000 0.000 0.318
V 0.000 0.000 0.682
V 0.500 0.500 0.182
V 0.500 0.500 0.818
N 0.000 0.500 0.000
N 0.000 0.500 0.330
N 0.000 0.500 0.670
N 0.500 0.000 0.170
N 0.500 0.000 0.500
N 0.500 0.000 0.830

Largest 8 diffraction maxima, in order of rising 2θ, 10 to 90 degrees two-theta:
Position (°2θ), I_rel
19.21, 43
22.95, 87
31.07, 42
35.96, 86
36.37, 86
41.82, 100
42.36, 49
61.04, 61

***

Repeat the sixth record exactly.
The following is a theoretical PXRD pattern of NdAu. It was derived from a DFT-relaxed cell (GGA-PBE, the Materials Project), using Cu Kα.
Neutral-atom scattering factors, no anomalous dispersion.

Crystal structure
abc: 3.724 3.724 3.724
angles: 90.00 90.00 90.00
Positions (direct):
Nd 0.000 0.000 0.000
Au 0.500 0.500 0.500

Largest 8 diffraction maxima, in order of rising 2θ, 10 to 90 degrees two-theta:
Position (°2θ), I_rel
23.89, 3
34.05, 100
42.02, 1
48.92, 18
55.15, 1
60.94, 38
71.68, 12
81.78, 17